Record 1
Calculated X-ray powder pattern
Compound: SbS8Cl5O
Radiation: Cu Ka
Structure: a cell relaxed with GGA-PBE
Peak positions follow from Bragg's law for the DFT cell and can differ from measured ones.

Lattice parameters (Å, degrees): 17.6095 9.4736 11.0511 90.00 90.00 90.00
Space group Pnma (No. 62)
Symmetry-distinct sites (fractional):
Sb (0.0257, 0.2500, 0.1987) (multiplicity 4)
S (0.1223, 0.0686, 0.5136) (multiplicity 8)
S (0.1698, 0.2500, 0.4203) (multiplicity 4)
S (0.2122, 0.7500, 0.2765) (multiplicity 4)
S (0.2178, 0.5034, 0.5955) (multiplicity 8)
S (0.2190, 0.0748, 0.7722) (multiplicity 8)
Cl (0.0255, 0.7500, 0.5971) (multiplicity 4)
Cl (0.0333, 0.5006, 0.2085) (multiplicity 8)
Cl (0.0947, 0.7500, 0.8957) (multiplicity 4)
Cl (0.0995, 0.2500, 0.0195) (multiplicity 4)
O (0.1403, 0.2500, 0.2897) (multiplicity 4)

Peak list (10 most intense, 10 to 90 degrees two-theta, in order of rising 2θ)
- 12.3 deg, I 42.2, hkl 0 1 1
- 13.7 deg, I 20.4, hkl 2 1 0
- 15.9 deg, I 100.0, hkl 2 1 1
- 17.1 deg, I 17.3, hkl 3 0 1
- 21.3 deg, I 17.2, hkl 2 2 0
- 24.7 deg, I 13.9, hkl 1 0 3
- 25.9 deg, I 32.7, hkl 4 0 2
- 29.4 deg, I 17.1, hkl 0 3 1
- 35.9 deg, I 12.4, hkl 3 0 4
- 38.0 deg, I 15.1, hkl 0 4 0

***

Record 2
Calculated X-ray powder pattern
Compound: Rb2IrAuF6
Radiation: Cu Ka
Structure: a cell relaxed with GGA-PBE
Peak positions follow from Bragg's law for the DFT cell and can differ from measured ones.

Lattice parameters (Å, degrees): 8.9831 8.9831 8.9831 90.00 90.00 90.00
Space group Fm-3m (No. 225)
Symmetry-distinct sites (fractional):
Rb (0.2500, 0.2500, 0.2500) (multiplicity 8)
Ir (0.0000, 0.0000, 0.0000) (multiplicity 4)
Au (0.0000, 0.0000, 0.5000) (multiplicity 4)
F (0.0000, 0.0000, 0.2284) (multiplicity 24)

Peak list (10 most intense, 10 to 90 degrees two-theta, in order of rising 2θ)
- 19.8 deg, I 27.3, hkl 2 0 0
- 28.1 deg, I 100.0, hkl 2 2 0
- 40.2 deg, I 31.8, hkl 4 0 0
- 45.1 deg, I 12.8, hkl 4 2 0
- 49.7 deg, I 41.8, hkl 4 2 2
- 58.1 deg, I 20.4, hkl 4 4 0
- 62.0 deg, I 6.1, hkl 6 0 0
- 65.7 deg, I 19.4, hkl 6 2 0
- 73.0 deg, I 6.7, hkl 4 4 4
- 79.9 deg, I 22.6, hkl 6 4 2

***

Record 3
Calculated X-ray powder pattern
Compound: Na3Ca2BiO6
Radiation: Cu Ka
Structure: a cell relaxed with GGA-PBE
Peak positions follow from Bragg's law for the DFT cell and can differ from measured ones.

Lattice parameters (Å, degrees): 6.7905 9.7496 20.1860 90.00 90.00 90.00
Space group Fddd (No. 70, origin choice 2)
Symmetry-distinct sites (fractional):
Na (0.1250, 0.1250, 0.1250) (multiplicity 8)
Na (0.1250, 0.1250, 0.2883) (multiplicity 16)
Ca (0.1250, 0.1250, 0.4555) (multiplicity 16)
Bi (0.1250, 0.1250, 0.6250) (multiplicity 8)
O (0.0999, 0.3702, 0.7976) (multiplicity 32)
O (0.1250, 0.3479, 0.6250) (multiplicity 16)

Peak list (10 most intense, 10 to 90 degrees two-theta, in order of rising 2θ)
- 16.5 deg, I 100.0, hkl 1 1 1
- 17.6 deg, I 27.7, hkl 0 0 4
- 20.2 deg, I 37.7, hkl 0 2 2
- 20.7 deg, I 27.8, hkl 1 1 3
- 27.3 deg, I 29.2, hkl 1 1 5
- 32.1 deg, I 31.6, hkl 2 2 0
- 32.3 deg, I 30.5, hkl 0 2 6
- 36.9 deg, I 46.8, hkl 0 4 0
- 37.6 deg, I 59.8, hkl 2 0 6
- 53.7 deg, I 38.4, hkl 2 4 6

***

Record 4
Calculated X-ray powder pattern
Compound: Mg2IrPt
Radiation: Cu Ka
Structure: a cell relaxed with GGA-PBE
Peak positions follow from Bragg's law for the DFT cell and can differ from measured ones.

Lattice parameters (Å, degrees): 6.2748 6.2748 6.2748 90.00 90.00 90.00
Space group Fm-3m (No. 225)
Symmetry-distinct sites (fractional):
Mg (0.2500, 0.2500, 0.2500) (multiplicity 8)
Ir (0.0000, 0.0000, 0.0000) (multiplicity 4)
Pt (0.0000, 0.0000, 0.5000) (multiplicity 4)

Peak list (7 most intense, 10 to 90 degrees two-theta, in order of rising 2θ)
- 28.4 deg, I 74.3, hkl 2 0 0
- 40.7 deg, I 100.0, hkl 2 2 0
- 50.4 deg, I 21.2, hkl 2 2 2
- 58.9 deg, I 17.0, hkl 4 0 0
- 66.7 deg, I 28.0, hkl 4 2 0
- 74.0 deg, I 34.6, hkl 4 2 2
- 88.1 deg, I 11.4, hkl 4 4 0